(1)
# LiVNi4
Computed X-ray diffraction stick pattern, Cu Kα (weighted mean of Kα1 and Kα2). Input: a crystal structure in Alexandria, relaxed with GGA-PBE.
No peak broadening, texture or thermal motion is included.

Cell and atoms:
Cell: 8.3008 3.9891 4.9756 Å, 90.00 125.83 90.00°
Element x y z (fractional)
Li1 0.0000 0.0000 0.0000
Li2 0.5000 0.5000 0.0000
V1 0.0000 0.0000 0.5000
V2 0.5000 0.5000 0.5000
Ni1 0.1654 0.5000 0.0169
Ni2 0.1702 0.5000 0.5249
Ni3 0.3298 0.0000 0.4751
Ni4 0.3346 0.0000 0.9831
Ni5 0.6654 0.0000 0.0169
Ni6 0.6702 0.0000 0.5249
Ni7 0.8298 0.5000 0.4751
Ni8 0.8346 0.5000 0.9831

Top 10 peaks for 2θ = 10–90°, by intensity:
two_theta, Rel. int.
45.2, 100
46.4, 96
45.5, 52
44.9, 50
65.9, 29
26.0, 26
44.8, 18
84.7, 15
83.9, 14
84.9, 14

---

(2)
# Li2Ni8W
Computed X-ray diffraction stick pattern, Cu Kα (weighted mean of Kα1 and Kα2). Input: a crystal structure in Alexandria, relaxed with GGA-PBE.
No peak broadening, texture or thermal motion is included.

Cell and atoms:
Cell: 5.9116 5.9116 3.7921 Å, 90.00 90.00 104.06°
Element x y z (fractional)
Li1 0.1155 0.8845 0.0000
Li2 0.8845 0.1155 0.0000
Ni1 0.1677 0.1677 0.5000
Ni2 0.1941 0.4630 0.0000
Ni3 0.2381 0.7619 0.5000
Ni4 0.4630 0.1941 0.0000
Ni5 0.5370 0.8059 0.0000
Ni6 0.7619 0.2381 0.5000
Ni7 0.8059 0.5370 0.0000
Ni8 0.8323 0.8323 0.5000
W1 0.5000 0.5000 0.5000

Top 10 peaks for 2θ = 10–90°, by intensity:
two_theta, Rel. int.
15.5, 100
45.7, 97
45.5, 94
34.2, 65
47.6, 55
48.0, 43
39.5, 36
69.9, 33
30.4, 28
46.3, 26

---

(3)
# Li2Y2Ni15
Computed X-ray diffraction stick pattern, Cu Kα (weighted mean of Kα1 and Kα2). Input: a crystal structure in Alexandria, relaxed with GGA-PBE.
No peak broadening, texture or thermal motion is included.

Cell and atoms:
Cell: 6.2734 6.2734 6.2734 Å, 83.25 83.25 83.25°
Element x y z (fractional)
Li1 0.0936 0.0936 0.0936
Li2 0.9064 0.9064 0.9064
Y1 0.3432 0.3432 0.3432
Y2 0.6567 0.6567 0.6567
Ni1 0.0000 0.0000 0.5000
Ni2 0.0000 0.3039 0.6961
Ni3 0.0000 0.5000 0.0000
Ni4 0.0000 0.6961 0.3039
Ni5 0.1582 0.6569 0.6569
Ni6 0.3039 0.0000 0.6961
Ni7 0.3039 0.6961 0.0000
Ni8 0.3431 0.3431 0.8418
Ni9 0.3431 0.8418 0.3431
Ni10 0.5000 0.0000 0.0000
Ni11 0.6569 0.1582 0.6569
Ni12 0.6569 0.6569 0.1582
Ni13 0.6961 0.0000 0.3039
Ni14 0.6961 0.3039 0.0000
Ni15 0.8418 0.3431 0.3431

Top 10 peaks for 2θ = 10–90°, by intensity:
two_theta, Rel. int.
43.8, 100
49.2, 45
45.0, 36
43.4, 36
21.3, 24
37.4, 19
30.9, 17
64.4, 17
71.9, 17
79.7, 15

---

(4)
# Li2Y3Ni7
Computed X-ray diffraction stick pattern, Cu Kα (weighted mean of Kα1 and Kα2). Input: a crystal structure in Alexandria, relaxed with GGA-PBE.
No peak broadening, texture or thermal motion is included.

Cell and atoms:
Cell: 8.5526 8.5526 8.5526 Å, 34.47 34.47 34.47°
Element x y z (fractional)
Li1 0.1654 0.1654 0.1654
Li2 0.8346 0.8346 0.8346
Y1 0.3611 0.3611 0.3611
Y2 0.5000 0.5000 0.5000
Y3 0.6389 0.6389 0.6389
Ni1 0.0000 0.0000 0.0000
Ni2 0.0849 0.0849 0.5807
Ni3 0.0849 0.5807 0.0849
Ni4 0.4193 0.9151 0.9151
Ni5 0.5807 0.0849 0.0849
Ni6 0.9151 0.4193 0.9151
Ni7 0.9151 0.9151 0.4193

Top 10 peaks for 2θ = 10–90°, by intensity:
two_theta, Rel. int.
42.2, 100
41.3, 80
36.2, 67
33.1, 63
11.0, 45
45.4, 39
41.8, 34
75.0, 30
35.4, 26
68.2, 22

---

(5)
# LiY2Ni
Computed X-ray diffraction stick pattern, Cu Kα (weighted mean of Kα1 and Kα2). Input: a crystal structure in Alexandria, relaxed with GGA-PBE.
No peak broadening, texture or thermal motion is included.

Cell and atoms:
Cell: 3.4489 3.4731 7.5979 Å, 90.00 90.07 90.00°
Element x y z (fractional)
Li1 0.0000 0.0000 0.0000
Y1 0.5003 0.5000 0.2880
Y2 0.4997 0.5000 0.7120
Ni1 0.0000 0.0000 0.5000

Top 10 peaks for 2θ = 10–90°, by intensity:
two_theta, Rel. int.
11.6, 100
36.7, 74
35.0, 71
35.1, 70
44.3, 32
65.2, 22
64.9, 22
38.7, 21
25.6, 19
25.8, 18

---

(6)
# Li3Zn7Ni
Computed X-ray diffraction stick pattern, Cu Kα (weighted mean of Kα1 and Kα2). Input: a crystal structure in Alexandria, relaxed with GGA-PBE.
No peak broadening, texture or thermal motion is included.

Cell and atoms:
Cell: 6.4546 6.4546 4.6741 Å, 108.11 108.11 86.07°
Element x y z (fractional)
Li1 0.0000 0.0000 0.0000
Li2 0.2021 0.7979 0.5000
Li3 0.7979 0.2021 0.5000
Zn1 0.0958 0.5821 0.8482
Zn2 0.2315 0.2315 0.5347
Zn3 0.4179 0.9042 0.1518
Zn4 0.5000 0.5000 0.5000
Zn5 0.5821 0.0958 0.8482
Zn6 0.7685 0.7685 0.4653
Zn7 0.9042 0.4179 0.1518
Ni1 0.5000 0.5000 0.0000

Top 10 peaks for 2θ = 10–90°, by intensity:
two_theta, Rel. int.
29.3, 100
14.4, 85
41.3, 82
41.0, 73
22.4, 72
47.3, 56
38.3, 46
47.7, 36
50.5, 34
38.6, 28

---

(7)
# LiZn5Ni
Computed X-ray diffraction stick pattern, Cu Kα (weighted mean of Kα1 and Kα2). Input: a crystal structure in Alexandria, relaxed with GGA-PBE.
No peak broadening, texture or thermal motion is included.

Cell and atoms:
Cell: 4.1695 4.1695 5.9797 Å, 90.00 90.00 90.00°
Element x y z (fractional)
Li1 0.0000 0.0000 0.0000
Zn1 0.0000 0.5000 0.2809
Zn2 0.0000 0.5000 0.7191
Zn3 0.5000 0.0000 0.2809
Zn4 0.5000 0.0000 0.7191
Zn5 0.5000 0.5000 0.0000
Ni1 0.5000 0.5000 0.5000

Top 10 peaks for 2θ = 10–90°, by intensity:
two_theta, Rel. int.
43.1, 100
43.4, 54
21.3, 34
79.4, 30
30.3, 17
63.1, 17
37.0, 16
78.8, 11
58.3, 8
48.8, 7

---

(8)
# LiZn4Ni5
Computed X-ray diffraction stick pattern, Cu Kα (weighted mean of Kα1 and Kα2). Input: a crystal structure in Alexandria, relaxed with GGA-PBE.
No peak broadening, texture or thermal motion is included.

Cell and atoms:
Cell: 2.9277 2.9277 13.8924 Å, 90.00 90.00 90.00°
Element x y z (fractional)
Li1 0.0000 0.0000 0.0000
Zn1 0.0000 0.0000 0.1948
Zn2 0.0000 0.0000 0.3985
Zn3 0.0000 0.0000 0.6015
Zn4 0.0000 0.0000 0.8052
Ni1 0.5000 0.5000 0.0965
Ni2 0.5000 0.5000 0.2978
Ni3 0.5000 0.5000 0.5000
Ni4 0.5000 0.5000 0.7022
Ni5 0.5000 0.5000 0.9035

Top 10 peaks for 2θ = 10–90°, by intensity:
two_theta, Rel. int.
45.0, 100
43.7, 55
81.2, 31
63.6, 17
83.9, 14
67.4, 7
12.7, 5
40.3, 4
31.2, 3
36.3, 3

---

Q: What is the formula in the fourth record?
A: Li2Y3Ni7

---

Q: Number 5 is which compound?
A: LiY2Ni